Record 1
Starting from a crystal structure in OQMD, relaxed with PBE, the PXRD pattern of CdIr7 was computed for λ = 1.5418 Å (Cu Kα).
Peak positions follow from Bragg's law for the DFT cell and can differ from measured ones.

Structure:
a = 2.7514 Å, b = 2.7514 Å, c = 43.7558 Å
α = 90.00°, β = 90.00°, γ = 90.00°
Element x y z (fractional)
Cd: 0.2500 0.2500 0.1640
Cd: 0.7500 0.7500 0.8360
Ir: 0.2500 0.2500 0.2575
Ir: 0.2500 0.2500 0.3460
Ir: 0.2500 0.2500 0.4339
Ir: 0.2500 0.2500 0.5221
Ir: 0.2500 0.2500 0.6100
Ir: 0.2500 0.2500 0.6982
Ir: 0.2500 0.2500 0.7851
Ir: 0.7500 0.7500 0.2149
Ir: 0.7500 0.7500 0.3018
Ir: 0.7500 0.7500 0.3900
Ir: 0.7500 0.7500 0.4779
Ir: 0.7500 0.7500 0.5661
Ir: 0.7500 0.7500 0.6540
Ir: 0.7500 0.7500 0.7425

Principal peaks in the range 10° ≤ 2θ ≤ 80°, most intense first:
- 2θ = 39.84°, intensity 1000
- 2θ = 41.10°, intensity 519
- 2θ = 46.70°, intensity 502
- 2θ = 69.05°, intensity 190
- 2θ = 68.17°, intensity 164
- 2θ = 47.81°, intensity 143

Record 2
Starting from a crystal structure in OQMD, relaxed with PBE, the PXRD pattern of Li3DyHo2Pb3 was computed for λ = 1.5418 Å (Cu Kα).
Peak positions follow from Bragg's law for the DFT cell and can differ from measured ones.

Structure:
a = 4.7782 Å, b = 4.7782 Å, c = 10.8157 Å
α = 90.00°, β = 90.00°, γ = 120.00°
Element x y z (fractional)
Li: 0.0000 0.0000 0.0000
Li: 0.3333 0.6667 0.3107
Li: 0.3333 0.6667 0.6893
Dy: 0.6667 0.3333 0.5000
Ho: 0.6667 0.3333 0.1646
Ho: 0.6667 0.3333 0.8354
Pb: 0.0000 0.0000 0.3274
Pb: 0.0000 0.0000 0.6726
Pb: 0.3333 0.6667 0.0000

Principal peaks in the range 10° ≤ 2θ ≤ 80°, most intense first:
- 2θ = 32.95°, intensity 1000
- 2θ = 37.65°, intensity 654
- 2θ = 23.01°, intensity 407
- 2θ = 27.13°, intensity 328
- 2θ = 50.88°, intensity 299
- 2θ = 65.00°, intensity 289

Record 3
Starting from a crystal structure in OQMD, relaxed with PBE, the PXRD pattern of DySi2AgAu was computed for λ = 1.5418 Å (Cu Kα).
Peak positions follow from Bragg's law for the DFT cell and can differ from measured ones.

Structure:
a = 6.0338 Å, b = 6.0338 Å, c = 6.0338 Å
α = 139.34°, β = 139.34°, γ = 58.86°
Element x y z (fractional)
Dy: 0.0000 0.0000 0.0000
Si: 0.3913 0.3913 0.0000
Si: 0.6087 0.6087 0.0000
Ag: 0.7500 0.2500 0.5000
Au: 0.2500 0.7500 0.5000

Principal peaks in the range 10° ≤ 2θ ≤ 80°, most intense first:
- 2θ = 34.74°, intensity 1000
- 2θ = 43.15°, intensity 327
- 2θ = 22.84°, intensity 243
- 2θ = 73.70°, intensity 224
- 2θ = 33.33°, intensity 202
- 2θ = 34.12°, intensity 197

Record 4
Starting from a crystal structure in OQMD, relaxed with PBE, the PXRD pattern of Th5Pb4 was computed for λ = 1.5418 Å (Cu Kα).
Peak positions follow from Bragg's law for the DFT cell and can differ from measured ones.

Structure:
a = 9.8326 Å, b = 9.8326 Å, c = 6.6470 Å
α = 90.00°, β = 90.00°, γ = 120.00°
Element x y z (fractional)
Th: 0.0000 0.2812 0.2500
Th: 0.0000 0.7188 0.7500
Th: 0.2812 0.0000 0.2500
Th: 0.2812 0.2812 0.7500
Th: 0.3333 0.6667 0.0000
Th: 0.3333 0.6667 0.5000
Th: 0.6667 0.3333 0.0000
Th: 0.6667 0.3333 0.5000
Th: 0.7188 0.0000 0.7500
Th: 0.7188 0.7188 0.2500
Pb: 0.0000 0.0000 0.0000
Pb: 0.0000 0.0000 0.5000
Pb: 0.0000 0.3795 0.7500
Pb: 0.0000 0.6205 0.2500
Pb: 0.3795 0.0000 0.7500
Pb: 0.3795 0.3795 0.2500
Pb: 0.6205 0.0000 0.2500
Pb: 0.6205 0.6205 0.7500

Principal peaks in the range 10° ≤ 2θ ≤ 80°, most intense first:
- 2θ = 32.52°, intensity 1000
- 2θ = 31.52°, intensity 906
- 2θ = 30.87°, intensity 440
- 2θ = 45.92°, intensity 306
- 2θ = 65.04°, intensity 238
- 2θ = 56.76°, intensity 233

Record 5
Starting from a crystal structure in OQMD, relaxed with PBE, the PXRD pattern of Bi6PtPbI12 was computed for λ = 1.5418 Å (Cu Kα).
Peak positions follow from Bragg's law for the DFT cell and can differ from measured ones.

Structure:
a = 10.1077 Å, b = 10.1077 Å, c = 10.1077 Å
α = 107.16°, β = 107.16°, γ = 107.16°
Element x y z (fractional)
Bi: 0.2019 0.4167 0.4651
Bi: 0.4167 0.4651 0.2019
Bi: 0.4651 0.2019 0.4167
Bi: 0.5349 0.7981 0.5833
Bi: 0.5833 0.5349 0.7981
Bi: 0.7981 0.5833 0.5349
Pt: 0.5000 0.5000 0.5000
Pb: 0.0000 0.0000 0.0000
I: 0.0521 0.3559 0.1100
I: 0.1100 0.0521 0.3559
I: 0.2072 0.7417 0.5641
I: 0.2583 0.4359 0.7928
I: 0.3559 0.1100 0.0521
I: 0.4359 0.7928 0.2583
I: 0.5641 0.2072 0.7417
I: 0.6441 0.8900 0.9479
I: 0.7417 0.5641 0.2072
I: 0.7928 0.2583 0.4359
I: 0.8900 0.9479 0.6441
I: 0.9479 0.6441 0.8900

Principal peaks in the range 10° ≤ 2θ ≤ 80°, most intense first:
- 2θ = 27.84°, intensity 1000
- 2θ = 10.88°, intensity 448
- 2θ = 39.58°, intensity 346
- 2θ = 39.97°, intensity 305
- 2θ = 10.09°, intensity 287
- 2θ = 49.41°, intensity 162

Record 6
Starting from a crystal structure in OQMD, relaxed with PBE, the PXRD pattern of Er2TmCu4Si2Ge2 was computed for λ = 1.5418 Å (Cu Kα).
Peak positions follow from Bragg's law for the DFT cell and can differ from measured ones.

Structure:
a = 7.8728 Å, b = 7.8728 Å, c = 7.8728 Å
α = 149.46°, β = 130.77°, γ = 59.05°
Element x y z (fractional)
Er: 0.1291 0.1291 0.0000
Er: 0.8709 0.8709 0.0000
Tm: 0.5000 0.0000 0.5000
Cu: 0.1451 0.3360 0.8091
Cu: 0.4731 0.6640 0.8091
Cu: 0.5269 0.3360 0.1909
Cu: 0.8549 0.6640 0.1909
Si: 0.1843 0.5000 0.6843
Si: 0.8157 0.5000 0.3157
Ge: 0.2835 0.7835 0.5000
Ge: 0.7165 0.2165 0.5000

Principal peaks in the range 10° ≤ 2θ ≤ 80°, most intense first:
- 2θ = 35.51°, intensity 1000
- 2θ = 36.68°, intensity 906
- 2θ = 43.65°, intensity 293
- 2θ = 65.30°, intensity 228
- 2θ = 46.03°, intensity 207
- 2θ = 27.20°, intensity 177

Record 7
Starting from a crystal structure in OQMD, relaxed with PBE, the PXRD pattern of AlCdInS4 was computed for λ = 1.5418 Å (Cu Kα).
Peak positions follow from Bragg's law for the DFT cell and can differ from measured ones.

Structure:
a = 7.5492 Å, b = 7.5492 Å, c = 10.6040 Å
α = 90.00°, β = 90.00°, γ = 90.00°
Element x y z (fractional)
Al: 0.0000 0.2376 0.0000
Al: 0.0000 0.7624 0.5000
Al: 0.2376 0.0000 0.7500
Al: 0.7624 0.0000 0.2500
Cd: 0.2521 0.2521 0.3750
Cd: 0.2521 0.7479 0.1250
Cd: 0.7479 0.2521 0.6250
Cd: 0.7479 0.7479 0.8750
In: 0.2373 0.5000 0.7500
In: 0.5000 0.2373 0.0000
In: 0.5000 0.7627 0.5000
In: 0.7627 0.5000 0.2500
S: 0.0146 0.2329 0.7704
S: 0.0146 0.7671 0.7296
S: 0.2329 0.0146 0.9796
S: 0.2329 0.9854 0.5204
S: 0.2339 0.4637 0.9975
S: 0.2339 0.5363 0.5025
S: 0.4637 0.2339 0.7525
S: 0.4637 0.7661 0.7475
S: 0.5363 0.2339 0.2475
S: 0.5363 0.7661 0.2525
S: 0.7661 0.4637 0.0025
S: 0.7661 0.5363 0.4975
S: 0.7671 0.0146 0.0204
S: 0.7671 0.9854 0.4796
S: 0.9854 0.2329 0.2296
S: 0.9854 0.7671 0.2704

Principal peaks in the range 10° ≤ 2θ ≤ 80°, most intense first:
- 2θ = 27.73°, intensity 1000
- 2θ = 23.62°, intensity 704
- 2θ = 48.39°, intensity 642
- 2θ = 44.10°, intensity 507
- 2θ = 27.87°, intensity 507
- 2θ = 48.22°, intensity 318